For BaCr2F8, DFT lattice parameters and positions (PBE+U) gives the simulated powder diffraction line list in this record (Cu Kα X-rays).
Peak positions follow from Bragg's law for the DFT cell and can differ from measured ones.

Atomic structure:
Cell lengths 4.075, 6.565, 6.640 Å; angles 76.10, 83.94, 84.58 degrees
Space group P-1 (No. 2)
Asymmetric unit:
1 Ba 0.000 0.000 0.000 x1
2 Cr 0.285 0.379 0.380 x2
3 F 0.227 0.585 0.585 x2
4 F 0.268 0.158 0.620 x2
5 F 0.276 0.622 0.161 x2
6 F 0.340 0.197 0.198 x2

Top 10 peaks for 5° ≤ 2θ ≤ 70°, sorted by position:
| Position (°2θ) | I/Imax | h k l |
| --- | --- | --- |
| 17.2 | 56 | 0 1 1 |
| 21.8 | 96 | 0 1 -1 |
| 26.2 | 80 | 1 1 1 |
| 27.0 | 100 | 1 -1 0 |
| 28.1 | 36 | 0 1 2 |
| 28.3 | 25 | 0 2 1 |
| 37.2 | 25 | 1 0 -2 |
| 44.5 | 34 | 0 2 -2 |
| 45.5 | 23 | 0 3 2 |
| 45.9 | 21 | 2 0 1 |